No. 1
Theoretical powder XRD pattern
Compound: LiAs2H3Pd8
Radiation: Cu Kα X-rays
Structure: the PBE geometry in Alexandria

Structure:
Cell lengths 7.3963, 7.3963, 7.3963 Å; angles 45.36, 45.36, 45.36 degrees
Positions (direct):
Li 0.0000 0.0000 0.0000
As 0.3304 0.3304 0.3304
As 0.6802 0.6802 0.6802
H 0.3358 0.3358 0.8341
H 0.3358 0.8341 0.3358
H 0.8341 0.3358 0.3358
Pd 0.0637 0.0637 0.5697
Pd 0.0637 0.5697 0.0637
Pd 0.1065 0.6004 0.6004
Pd 0.1189 0.1189 0.1189
Pd 0.5581 0.5581 0.5581
Pd 0.5697 0.0637 0.0637
Pd 0.6004 0.1065 0.6004
Pd 0.6004 0.6004 0.1065

The 10 most intense peaks (5 to 70 degrees two-theta), in order of rising 2θ:
d (Å)  Rel. int.
6.623  22
3.311  23
2.397  92
2.210  100
2.161  11
2.098  35
1.863  31
1.751  14
1.458  16
1.426  30

=====

No. 2
Theoretical powder XRD pattern
Compound: Li2SbAsH
Radiation: Cu Kα X-rays
Structure: the PBE geometry in Alexandria

Structure:
Cell lengths 4.4587, 4.4587, 4.0358 Å; angles 90.00, 90.00, 90.00 degrees
Positions (direct):
Li 0.0000 0.5000 0.0000
Li 0.5000 0.0000 0.0000
Sb 0.0000 0.0000 0.5000
As 0.5000 0.5000 0.5000
H 0.5000 0.5000 0.0000

The 10 most intense peaks (5 to 70 degrees two-theta), in order of rising 2θ:
d (Å)  Rel. int.
4.036  72
3.153  81
2.485  100
2.229  37
2.018  14
1.951  39
1.700  26
1.496  21
1.468  15
1.410  14

=====

No. 3
Theoretical powder XRD pattern
Compound: Sr3LiAs2H
Radiation: Cu Kα X-rays
Structure: the PBE geometry in Alexandria

Structure:
Cell lengths 12.1133, 4.4914, 12.6529 Å; angles 90.00, 90.00, 90.00 degrees
Positions (direct):
Sr 0.0626 0.2500 0.1211
Sr 0.1307 0.7500 0.5603
Sr 0.2053 0.2500 0.7983
Sr 0.2947 0.7500 0.2983
Sr 0.3693 0.2500 0.0603
Sr 0.4374 0.7500 0.6211
Sr 0.5626 0.2500 0.3789
Sr 0.6307 0.7500 0.9397
Sr 0.7053 0.2500 0.7017
Sr 0.7947 0.7500 0.2017
Sr 0.8693 0.2500 0.4397
Sr 0.9374 0.7500 0.8789
Li 0.1353 0.2500 0.3571
Li 0.3647 0.7500 0.8571
Li 0.6353 0.2500 0.1429
Li 0.8647 0.7500 0.6429
As 0.0249 0.7500 0.3238
As 0.1876 0.7500 0.9856
As 0.3124 0.2500 0.4856
As 0.4751 0.2500 0.8238
As 0.5249 0.7500 0.1762
As 0.6876 0.7500 0.5144
As 0.8124 0.2500 0.0144
As 0.9751 0.2500 0.6762
H 0.2378 0.2500 0.2248
H 0.2622 0.7500 0.7248
H 0.7378 0.2500 0.2752
H 0.7622 0.7500 0.7752

The 10 most intense peaks (5 to 70 degrees two-theta), in order of rising 2θ:
d (Å)  Rel. int.
3.506  40
3.404  38
3.134  74
3.075  100
2.980  64
2.945  56
2.921  62
2.713  69
2.334  79
2.246  67

=====

No. 4
Theoretical powder XRD pattern
Compound: MgAsH2
Radiation: Cu Kα X-rays
Structure: the PBE geometry in Alexandria

Structure:
Cell lengths 3.9501, 3.9501, 3.9501 Å; angles 60.00, 60.00, 60.00 degrees
Positions (direct):
Mg 0.0000 0.0000 0.0000
As 0.5000 0.5000 0.5000
H 0.2500 0.2500 0.2500
H 0.7500 0.7500 0.7500

The 6 most intense peaks (5 to 70 degrees two-theta), in order of rising 2θ:
d (Å)  Rel. int.
3.225  52
2.793  100
1.975  80
1.684  23
1.613  25
1.397  12

=====

No. 5
Theoretical powder XRD pattern
Compound: Mg2Ni5As3H2
Radiation: Cu Kα X-rays
Structure: the PBE geometry in Alexandria

Structure:
Cell lengths 10.4706, 10.4706, 10.4706 Å; angles 159.16, 159.16, 29.64 degrees
Positions (direct):
Mg 0.1964 0.1964 0.0000
Mg 0.8036 0.8036 0.0000
Ni 0.0000 0.0000 0.0000
Ni 0.0915 0.5915 0.5000
Ni 0.4085 0.9085 0.5000
Ni 0.5915 0.0915 0.5000
Ni 0.9085 0.4085 0.5000
As 0.3307 0.3307 0.0000
As 0.5000 0.5000 0.0000
As 0.6693 0.6693 0.0000
H 0.0825 0.0825 0.0000
H 0.9175 0.9175 0.0000

The 10 most intense peaks (5 to 70 degrees two-theta), in order of rising 2θ:
d (Å)  Rel. int.
10.122  61
5.061  7
3.723  7
3.303  11
2.367  30
2.098  100
2.024  9
1.894  42
1.687  10
1.383  10

=====

No. 6
Theoretical powder XRD pattern
Compound: RbMgAsH12O10
Radiation: Cu Kα X-rays
Structure: the PBE geometry in Alexandria

Structure:
Cell lengths 7.0644, 6.2396, 11.5596 Å; angles 90.00, 90.00, 90.00 degrees
Positions (direct):
Rb 0.0000 0.1353 0.0000
Rb 0.5000 0.8647 0.5000
Mg 0.0000 0.1278 0.6520
Mg 0.5000 0.8722 0.1520
As 0.0000 0.5053 0.2827
As 0.5000 0.4947 0.7827
H 0.0000 0.6801 0.6176
H 0.0000 0.7839 0.4896
H 0.1144 0.5076 0.7690
H 0.1794 0.6758 0.0810
H 0.1804 0.8884 0.2972
H 0.2041 0.2904 0.4633
H 0.2414 0.8724 0.7846
H 0.2586 0.1276 0.2846
H 0.2959 0.7096 0.9633
H 0.3196 0.1116 0.7972
H 0.3206 0.3242 0.5810
H 0.3856 0.4924 0.2690
H 0.5000 0.2161 0.9896
H 0.5000 0.3199 0.1176
H 0.6144 0.4924 0.2690
H 0.6794 0.3242 0.5810
H 0.6804 0.1116 0.7972
H 0.7041 0.7096 0.9633
H 0.7414 0.1276 0.2846
H 0.7586 0.8724 0.7846
H 0.7959 0.2904 0.4633
H 0.8196 0.8884 0.2972
H 0.8206 0.6758 0.0810
H 0.8856 0.5076 0.7690
O 0.0000 0.4469 0.7277
O 0.0000 0.5321 0.1349
O 0.0000 0.7566 0.3467
O 0.0000 0.8173 0.5749
O 0.2018 0.3734 0.3274
O 0.2058 0.0262 0.7709
O 0.2216 0.2304 0.5435
O 0.2784 0.7696 0.0435
O 0.2942 0.9738 0.2709
O 0.2982 0.6266 0.8274
O 0.5000 0.1827 0.0749
O 0.5000 0.2434 0.8467
O 0.5000 0.4679 0.6349
O 0.5000 0.5531 0.2277
O 0.7018 0.6266 0.8274
O 0.7058 0.9738 0.2709
O 0.7216 0.7696 0.0435
O 0.7784 0.2304 0.5435
O 0.7942 0.0262 0.7709
O 0.7982 0.3734 0.3274

The 10 most intense peaks (5 to 70 degrees two-theta), in order of rising 2θ:
d (Å)  Rel. int.
6.028  28
4.335  100
4.240  64
3.532  30
3.383  62
2.971  54
2.890  27
2.745  33
2.714  61
2.072  24

=====

No. 7
Theoretical powder XRD pattern
Compound: Mg3AsH2Pd6
Radiation: Cu Kα X-rays
Structure: the PBE geometry in Alexandria

Structure:
Cell lengths 5.5883, 5.5883, 7.7687 Å; angles 90.00, 90.00, 120.00 degrees
Positions (direct):
Mg 0.0000 0.0000 0.0000
Mg 0.3333 0.6667 0.6220
Mg 0.6667 0.3333 0.3780
As 0.0000 0.0000 0.5000
H 0.3333 0.6667 0.1485
H 0.6667 0.3333 0.8515
Pd 0.1720 0.3441 0.2763
Pd 0.1720 0.8280 0.2763
Pd 0.3441 0.1720 0.7237
Pd 0.6559 0.8280 0.2763
Pd 0.8280 0.1720 0.7237
Pd 0.8280 0.6559 0.7237

The 10 most intense peaks (5 to 70 degrees two-theta), in order of rising 2θ:
d (Å)  Rel. int.
7.769  37
4.840  26
4.108  44
3.884  53
2.310  100
2.283  13
2.268  26
2.054  45
1.768  34
1.397  18

=====

No. 8
Theoretical powder XRD pattern
Compound: Mg2AsHPt6
Radiation: Cu Kα X-rays
Structure: the PBE geometry in Alexandria

Structure:
Cell lengths 6.8664, 6.8664, 6.8664 Å; angles 48.13, 48.13, 48.13 degrees
Positions (direct):
Mg 0.0000 0.0000 0.0000
Mg 0.4706 0.4706 0.4706
As 0.7105 0.7105 0.7105
H 0.2378 0.2378 0.2378
Pt 0.4434 0.4434 0.9312
Pt 0.4434 0.9312 0.4434
Pt 0.4711 0.9769 0.9769
Pt 0.9312 0.4434 0.4434
Pt 0.9769 0.4711 0.9769
Pt 0.9769 0.9769 0.4711

The 10 most intense peaks (5 to 70 degrees two-theta), in order of rising 2θ:
d (Å)  Rel. int.
6.058  25
4.278  66
3.029  40
2.343  100
2.139  86
2.018  45
1.772  19
1.658  19
1.400  27
1.365  19